[1]
The following is a simulated X-ray powder pattern of DyFe5P3. It was derived from a crystal structure in the Materials Project, relaxed with PBE, using Cu Kα X-rays.
Neutral-atom scattering factors, no anomalous dispersion.

Structural model:
```
data_DyFe5P3
_chemical_formula_sum 'Dy4 Fe20 P12'
_symmetry_space_group_name_H-M 'P n m a'
_symmetry_Int_Tables_number 62
_symmetry_space_group_name_Hall '-P 2ac 2n'
_cell_length_a 11.8076
_cell_length_b 3.6470
_cell_length_c 10.3051
_cell_angle_alpha 90.00
_cell_angle_beta 90.00
_cell_angle_gamma 90.00
loop_
_atom_site_label
_atom_site_fract_x
_atom_site_fract_y
_atom_site_fract_z
Dy1 0.2050 0.2500 0.0815
Fe1 0.0094 0.7500 0.0944
Fe2 0.0124 0.7500 0.7073
Fe3 0.0675 0.7500 0.4630
Fe4 0.1768 0.2500 0.7811
Fe5 0.1998 0.2500 0.3771
P1 0.1047 0.7500 0.8986
P2 0.1127 0.2500 0.5782
P3 0.1291 0.7500 0.2672
```

Peak list (10 most intense, 2θ from 10° to 90°, low angle first)
hkl 1 1 1, 27.0 deg, I = 20.4; hkl 1 0 4, 35.7 deg, I = 15.3; hkl 3 1 2, 37.9 deg, I = 17.7; hkl 2 1 3, 39.1 deg, I = 100.0; hkl 4 1 0, 39.3 deg, I = 51.7; hkl 4 0 3, 40.3 deg, I = 24.0; hkl 0 2 0, 50.0 deg, I = 31.5; hkl 6 0 3, 53.7 deg, I = 20.5; hkl 6 2 3, 76.4 deg, I = 14.0; hkl 4 3 0, 86.5 deg, I = 13.1

=====

[2]
The following is a simulated X-ray powder pattern of DyFe10Re2. It was derived from a crystal structure in the Materials Project, relaxed with PBE, using Cu Kα X-rays.
Neutral-atom scattering factors, no anomalous dispersion.

Structural model:
```
data_DyFe10Re2
_chemical_formula_sum 'Dy2 Fe20 Re4'
_symmetry_space_group_name_H-M 'I m m m'
_symmetry_Int_Tables_number 71
_symmetry_space_group_name_Hall '-I 2 2'
_cell_length_a 4.6980
_cell_length_b 8.4854
_cell_length_c 8.6382
_cell_angle_alpha 90.00
_cell_angle_beta 90.00
_cell_angle_gamma 90.00
loop_
_atom_site_label
_atom_site_fract_x
_atom_site_fract_y
_atom_site_fract_z
Dy1 0.0000 0.0000 0.0000
Fe1 0.0000 0.2783 0.5000
Fe2 0.0000 0.3593 0.0000
Fe3 0.0000 0.5000 0.2721
Fe4 0.2500 0.2500 0.2500
Re1 0.0000 0.0000 0.3578
```

Peak list (10 most intense, 2θ from 10° to 90°, low angle first)
hkl 0 2 0, 20.9 deg, I = 19.3; hkl 1 1 0, 21.6 deg, I = 51.1; hkl 0 1 3, 32.8 deg, I = 26.5; hkl 1 0 3, 36.6 deg, I = 38.3; hkl 1 3 0, 37.1 deg, I = 42.1; hkl 2 0 0, 38.3 deg, I = 24.4; hkl 0 4 0, 42.6 deg, I = 100.0; hkl 1 3 2, 42.8 deg, I = 21.7; hkl 2 2 0, 44.1 deg, I = 43.9; hkl 0 3 3, 44.9 deg, I = 17.7

=====

[3]
The following is a simulated X-ray powder pattern of Dy4FeS7. It was derived from a crystal structure in the Materials Project, relaxed with PBE, using Cu Kα X-rays.
Neutral-atom scattering factors, no anomalous dispersion.

Structural model:
```
data_Dy4FeS7
_chemical_formula_sum 'Dy8 Fe2 S14'
_symmetry_space_group_name_H-M 'C 1 m 1'
_symmetry_Int_Tables_number 8
_symmetry_space_group_name_Hall 'C -2y'
_cell_length_a 12.0735
_cell_length_b 3.7616
_cell_length_c 11.2842
_cell_angle_alpha 90.00
_cell_angle_beta 104.26
_cell_angle_gamma 90.00
loop_
_atom_site_label
_atom_site_fract_x
_atom_site_fract_y
_atom_site_fract_z
Dy1 0.0000 0.0000 0.0000
Dy2 0.0937 0.5000 0.3375
Dy3 0.1990 0.5000 0.7943
Dy4 0.3930 0.0000 0.5751
Fe1 0.3099 0.5000 0.2094
S1 0.0373 0.0000 0.7257
S2 0.1683 0.5000 0.0221
S3 0.2203 0.0000 0.2664
S4 0.2307 0.5000 0.5654
S5 0.3644 0.0000 0.8388
S6 0.4127 0.0000 0.1427
S7 0.4491 0.5000 0.4047
```

Peak list (10 most intense, 2θ from 10° to 90°, low angle first)
hkl 2 0 2, 24.9 deg, I = 100.0; hkl 2 0 -3, 25.4 deg, I = 76.2; hkl 1 1 -2, 28.8 deg, I = 38.5; hkl 4 0 -1, 29.6 deg, I = 37.6; hkl 0 0 4, 32.7 deg, I = 42.8; hkl 3 1 0, 33.1 deg, I = 46.4; hkl 3 1 -2, 34.4 deg, I = 42.1; hkl 3 1 1, 35.5 deg, I = 45.5; hkl 1 1 4, 43.1 deg, I = 34.0; hkl 0 2 0, 48.4 deg, I = 30.9

=====

[4]
The following is a simulated X-ray powder pattern of Dy4FeSe7. It was derived from a crystal structure in the Materials Project, relaxed with PBE, using Cu Kα X-rays.
Neutral-atom scattering factors, no anomalous dispersion.

Structural model:
```
data_Dy4FeSe7
_chemical_formula_sum 'Dy8 Fe2 Se14'
_symmetry_space_group_name_H-M 'C 1 m 1'
_symmetry_Int_Tables_number 8
_symmetry_space_group_name_Hall 'C -2y'
_cell_length_a 13.0305
_cell_length_b 3.9516
_cell_length_c 11.9416
_cell_angle_alpha 90.00
_cell_angle_beta 104.20
_cell_angle_gamma 90.00
loop_
_atom_site_label
_atom_site_fract_x
_atom_site_fract_y
_atom_site_fract_z
Dy1 0.0000 0.0000 0.0000
Dy2 0.0812 0.5000 0.3588
Dy3 0.1942 0.5000 0.8003
Dy4 0.3886 0.0000 0.5955
Fe1 0.3053 0.5000 0.2187
Se1 0.0333 0.0000 0.7431
Se2 0.1640 0.5000 0.0228
Se3 0.2050 0.0000 0.2890
Se4 0.2295 0.5000 0.5783
Se5 0.3566 0.0000 0.8452
Se6 0.4236 0.0000 0.1479
Se7 0.4471 0.5000 0.4319
```

Peak list (10 most intense, 2θ from 10° to 90°, low angle first)
hkl 2 0 2, 23.3 deg, I = 68.8; hkl 2 0 -3, 23.9 deg, I = 60.2; hkl 2 0 -4, 30.7 deg, I = 100.0; hkl 3 1 0, 31.0 deg, I = 75.8; hkl 3 1 -2, 32.3 deg, I = 85.2; hkl 3 1 1, 33.3 deg, I = 79.2; hkl 3 1 -3, 35.6 deg, I = 46.4; hkl 1 1 4, 40.7 deg, I = 57.4; hkl 0 2 0, 45.9 deg, I = 78.1; hkl 6 0 -4, 46.7 deg, I = 40.5

=====

[5]
The following is a simulated X-ray powder pattern of Dy3Fe2Si3. It was derived from a crystal structure in the Materials Project, relaxed with PBE, using Cu Kα X-rays.
Neutral-atom scattering factors, no anomalous dispersion.

Structural model:
```
data_Dy3Fe2Si3
_chemical_formula_sum 'Dy12 Fe8 Si12'
_symmetry_space_group_name_H-M 'C m c m'
_symmetry_Int_Tables_number 63
_symmetry_space_group_name_Hall '-C 2c 2'
_cell_length_a 4.0778
_cell_length_b 10.5485
_cell_length_c 13.5972
_cell_angle_alpha 90.00
_cell_angle_beta 90.00
_cell_angle_gamma 90.00
loop_
_atom_site_label
_atom_site_fract_x
_atom_site_fract_y
_atom_site_fract_z
Dy1 0.0000 0.0803 0.1120
Dy2 0.0000 0.3646 0.2500
Fe1 0.0000 0.2155 0.5804
Si1 0.0000 0.3238 0.7500
Si2 0.0000 0.3738 0.0398
```

Peak list (10 most intense, 2θ from 10° to 90°, low angle first)
hkl 1 1 1, 24.3 deg, I = 32.8; hkl 0 2 3, 25.9 deg, I = 49.3; hkl 1 1 2, 26.9 deg, I = 23.8; hkl 1 3 1, 34.3 deg, I = 79.7; hkl 1 1 4, 35.4 deg, I = 100.0; hkl 0 2 5, 37.2 deg, I = 25.5; hkl 1 3 3, 39.2 deg, I = 39.2; hkl 0 4 3, 39.5 deg, I = 22.4; hkl 2 0 0, 44.4 deg, I = 35.5; hkl 1 3 7, 58.8 deg, I = 24.0

=====

[6]
The following is a simulated X-ray powder pattern of Dy2Fe3Si5. It was derived from a crystal structure in the Materials Project, relaxed with PBE, using Cu Kα X-rays.
Neutral-atom scattering factors, no anomalous dispersion.

Structural model:
```
data_Dy2Fe3Si5
_chemical_formula_sum 'Dy8 Fe12 Si20'
_symmetry_space_group_name_H-M 'P 4/m n c'
_symmetry_Int_Tables_number 128
_symmetry_space_group_name_Hall '-P 4 2n'
_cell_length_a 10.3578
_cell_length_b 10.3578
_cell_length_c 5.4798
_cell_angle_alpha 90.00
_cell_angle_beta 90.00
_cell_angle_gamma 90.00
loop_
_atom_site_label
_atom_site_fract_x
_atom_site_fract_y
_atom_site_fract_z
Dy1 0.0683 0.2370 0.0000
Fe1 0.0000 0.5000 0.2500
Fe2 0.1236 0.8557 0.5000
Si1 0.0000 0.0000 0.2684
Si2 0.0207 0.3201 0.5000
Si3 0.1789 0.6789 0.2500
```

Peak list (10 most intense, 2θ from 10° to 90°, low angle first)
hkl 2 1 1, 25.2 deg, I = 34.5; hkl 3 1 1, 31.8 deg, I = 100.0; hkl 0 0 2, 32.7 deg, I = 28.8; hkl 4 1 0, 35.7 deg, I = 34.8; hkl 2 1 2, 38.2 deg, I = 28.7; hkl 4 2 0, 38.9 deg, I = 25.5; hkl 4 1 1, 39.5 deg, I = 54.9; hkl 2 2 2, 41.1 deg, I = 60.8; hkl 5 3 1, 54.3 deg, I = 27.6; hkl 3 1 3, 57.8 deg, I = 18.4

=====

[7]
The following is a simulated X-ray powder pattern of Dy4Fe29Si5. It was derived from a crystal structure in the Materials Project, relaxed with PBE, using Cu Kα X-rays.
Neutral-atom scattering factors, no anomalous dispersion.

Structural model:
```
data_Dy4Fe29Si5
_chemical_formula_sum 'Dy4 Fe29 Si5'
_symmetry_space_group_name_H-M 'P -1'
_symmetry_Int_Tables_number 2
_symmetry_space_group_name_Hall '-P 1'
_cell_length_a 6.3646
_cell_length_b 6.3710
_cell_length_c 12.7414
_cell_angle_alpha 82.43
_cell_angle_beta 81.35
_cell_angle_gamma 82.41
loop_
_atom_site_label
_atom_site_fract_x
_atom_site_fract_y
_atom_site_fract_z
Dy1 0.1506 0.1618 0.3267
Dy2 0.1557 0.1540 0.8262
Fe1 0.0000 0.5000 0.0000
Fe2 0.0000 0.5000 0.5000
Fe3 0.1537 0.6657 0.3284
Fe4 0.1613 0.1617 0.0780
Fe5 0.1610 0.6550 0.8295
Fe6 0.1665 0.1632 0.5745
Fe7 0.1884 0.8150 0.4986
Fe8 0.1958 0.8049 0.9995
Fe9 0.1991 0.5015 0.1503
Fe10 0.2072 0.4994 0.6464
Fe11 0.3450 0.8414 0.1691
Fe12 0.3504 0.8347 0.6672
Fe13 0.4954 0.8151 0.3458
Fe14 0.4981 0.5035 0.2500
Fe15 0.5000 0.0000 0.0000
Fe16 0.5001 0.1966 0.1530
Si1 0.3884 0.4283 0.4442
Si2 0.3985 0.3997 0.9498
Si3 0.5000 0.0000 0.5000
```

Peak list (10 most intense, 2θ from 10° to 90°, low angle first)
hkl 1 0 0, 14.2 deg, I = 18.2; hkl 2 1 0, 30.4 deg, I = 41.5; hkl -2 1 2, 37.4 deg, I = 36.0; hkl 2 2 0, 38.2 deg, I = 20.5; hkl 2 -1 4, 43.0 deg, I = 28.0; hkl 0 2 -4, 43.1 deg, I = 44.1; hkl 0 3 0, 43.3 deg, I = 29.6; hkl 3 0 0, 43.4 deg, I = 49.1; hkl 2 2 4, 43.6 deg, I = 100.0; hkl 2 0 -4, 43.6 deg, I = 23.9

=====

[8]
The following is a simulated X-ray powder pattern of Dy2FeSi2. It was derived from a crystal structure in the Materials Project, relaxed with PBE, using Cu Kα X-rays.
Neutral-atom scattering factors, no anomalous dispersion.

Structural model:
```
data_Dy2FeSi2
_chemical_formula_sum 'Dy8 Fe4 Si8'
_symmetry_space_group_name_H-M 'C 1 2/m 1'
_symmetry_Int_Tables_number 12
_symmetry_space_group_name_Hall '-C 2y'
_cell_length_a 10.5006
_cell_length_b 4.1392
_cell_length_c 9.9826
_cell_angle_alpha 90.00
_cell_angle_beta 119.27
_cell_angle_gamma 90.00
loop_
_atom_site_label
_atom_site_fract_x
_atom_site_fract_y
_atom_site_fract_z
Dy1 0.0008 0.0000 0.3285
Dy2 0.1885 0.0000 0.1094
Fe1 0.2280 0.5000 0.3769
Si1 0.0008 0.5000 0.8740
Si2 0.1552 0.5000 0.5643
```

Peak list (10 most intense, 2θ from 10° to 90°, low angle first)
hkl 1 1 0, 23.6 deg, I = 89.3; hkl 2 0 -3, 27.2 deg, I = 67.2; hkl 3 1 -1, 33.8 deg, I = 82.3; hkl 4 0 -2, 34.1 deg, I = 100.0; hkl 1 1 2, 34.5 deg, I = 93.7; hkl 1 1 -3, 35.0 deg, I = 81.9; hkl 3 1 -3, 37.5 deg, I = 59.2; hkl 3 1 1, 41.9 deg, I = 46.4; hkl 0 2 0, 43.7 deg, I = 60.8; hkl 4 2 -2, 56.7 deg, I = 35.0

=====

[9]
The following is a simulated X-ray powder pattern of Dy2Fe4Si9. It was derived from a crystal structure in the Materials Project, relaxed with PBE, using Cu Kα X-rays.
Neutral-atom scattering factors, no anomalous dispersion.

Structural model:
```
data_Dy2Fe4Si9
_chemical_formula_sum 'Dy2 Fe4 Si9'
_symmetry_space_group_name_H-M 'P -3 m 1'
_symmetry_Int_Tables_number 164
_symmetry_space_group_name_Hall '-P 3 2"'
_cell_length_a 3.9403
_cell_length_b 3.9403
_cell_length_c 16.0374
_cell_angle_alpha 90.00
_cell_angle_beta 90.00
_cell_angle_gamma 120.00
loop_
_atom_site_label
_atom_site_fract_x
_atom_site_fract_y
_atom_site_fract_z
Dy1 0.3333 0.6667 0.2416
Fe1 0.3333 0.6667 0.5891
Fe2 0.3333 0.6667 0.8985
Si1 0.0000 0.0000 0.1264
Si2 0.0000 0.0000 0.3501
Si3 0.0000 0.0000 0.5000
Si4 0.3333 0.6667 0.0432
Si5 0.3333 0.6667 0.4353
```

Peak list (10 most intense, 2θ from 10° to 90°, low angle first)
hkl 1 0 0, 26.1 deg, I = 18.7; hkl 1 0 1, 26.7 deg, I = 37.1; hkl 1 0 3, 31.1 deg, I = 100.0; hkl 0 0 6, 33.5 deg, I = 20.8; hkl 1 0 5, 38.5 deg, I = 45.8; hkl 0 1 6, 43.0 deg, I = 39.6; hkl 1 1 0, 46.1 deg, I = 71.5; hkl 0 2 3, 56.6 deg, I = 17.7; hkl 1 1 6, 58.2 deg, I = 24.6; hkl 1 0 9, 58.4 deg, I = 17.7

=====

[10]
The following is a simulated X-ray powder pattern of DyFeSi. It was derived from a crystal structure in the Materials Project, relaxed with PBE, using Cu Kα X-rays.
Neutral-atom scattering factors, no anomalous dispersion.

Structural model:
```
data_DyFeSi
_chemical_formula_sum 'Dy2 Fe2 Si2'
_symmetry_space_group_name_H-M 'P 4/n m m'
_symmetry_Int_Tables_number 129
_cell_length_a 4.0424
_cell_length_b 4.0424
_cell_length_c 6.4782
_cell_angle_alpha 90.00
_cell_angle_beta 90.00
_cell_angle_gamma 90.00
loop_
_symmetry_equiv_pos_as_xyz
'x,y,z'
'-x,-y,-z'
'-y+1/2,x,z'
'y+1/2,-x,-z'
'-x+1/2,-y+1/2,z'
'x+1/2,y+1/2,-z'
'y,-x+1/2,z'
'-y,x+1/2,-z'
'x+1/2,-y,-z'
'-x+1/2,y,z'
'-y,-x,-z'
'y,x,z'
'-x,y+1/2,-z'
'x,-y+1/2,z'
'y+1/2,x+1/2,-z'
'-y+1/2,-x+1/2,z'
loop_
_atom_site_label
_atom_site_fract_x
_atom_site_fract_y
_atom_site_fract_z
Dy1 0.2500 0.2500 0.1849
Fe1 0.2500 0.7500 0.5000
Si1 0.2500 0.2500 0.6788
```

Peak list (10 most intense, 2θ from 10° to 90°, low angle first)
hkl 1 0 1, 26.0 deg, I = 100.0; hkl 1 1 0, 31.3 deg, I = 36.2; hkl 1 1 1, 34.3 deg, I = 41.5; hkl 1 0 2, 35.5 deg, I = 59.7; hkl 1 1 2, 42.2 deg, I = 66.1; hkl 2 0 0, 44.8 deg, I = 48.8; hkl 2 1 1, 52.6 deg, I = 30.2; hkl 2 1 2, 58.5 deg, I = 28.2; hkl 1 0 4, 61.7 deg, I = 21.8; hkl 2 1 4, 79.4 deg, I = 21.3

=====

[11]
The following is a simulated X-ray powder pattern of DyFe2Si2. It was derived from a crystal structure in the Materials Project, relaxed with PBE, using Cu Kα X-rays.
Neutral-atom scattering factors, no anomalous dispersion.

Structural model:
```
data_DyFe2Si2
_chemical_formula_sum 'Dy2 Fe4 Si4'
_symmetry_space_group_name_H-M 'I 4/m m m'
_symmetry_Int_Tables_number 139
_symmetry_space_group_name_Hall '-I 4 2'
_cell_length_a 3.9637
_cell_length_b 3.9637
_cell_length_c 9.5096
_cell_angle_alpha 90.00
_cell_angle_beta 90.00
_cell_angle_gamma 90.00
loop_
_atom_site_label
_atom_site_fract_x
_atom_site_fract_y
_atom_site_fract_z
Dy1 0.0000 0.0000 0.0000
Fe1 0.0000 0.5000 0.2500
Si1 0.0000 0.0000 0.3655
```

Peak list (10 most intense, 2θ from 10° to 90°, low angle first)
hkl 1 0 1, 24.3 deg, I = 59.0; hkl 1 0 3, 36.3 deg, I = 62.4; hkl 1 1 2, 37.2 deg, I = 100.0; hkl 0 0 4, 37.8 deg, I = 16.1; hkl 2 0 0, 45.8 deg, I = 41.7; hkl 2 1 1, 52.5 deg, I = 15.5; hkl 1 0 5, 53.4 deg, I = 16.7; hkl 2 1 3, 59.8 deg, I = 29.1; hkl 1 1 6, 67.9 deg, I = 19.5; hkl 3 1 2, 79.0 deg, I = 20.9